Record 1
The following is a calculated powder X-ray diffraction pattern of H3Pd8Se2. It was derived from a cell relaxed with GGA-PBE, using Cu Kα X-rays.
Peak positions follow from Bragg's law for the DFT cell and can differ from measured ones.

Crystal structure
Cell: 13.372 5.784 4.895 Å, 90.00 108.05 90.00°
Space group C2/m (No. 12)
One atom of each set of equivalent atoms:
H 0.000 0.000 0.000
H 0.000 0.269 0.500
Pd 0.065 0.500 0.323
Pd 0.075 0.000 0.347
Pd 0.130 0.249 0.889
Se 0.244 0.500 0.271

Principal peaks in the range 2θ from 10° to 90°, by angle:
2θ 28.07, I 35, hkl 4 0 0
2θ 36.58, I 94, hkl 0 2 1
2θ 36.79, I 70, hkl 2 0 -2
2θ 37.02, I 65, hkl 2 2 -1
2θ 38.95, I 57, hkl 4 0 1
2θ 40.97, I 62, hkl 6 0 -1
2θ 41.52, I 91, hkl 2 2 1
2θ 42.25, I 50, hkl 4 2 0
2θ 42.68, I 100, hkl 4 2 -1
2θ 45.47, I 42, hkl 2 0 2

***

Record 2
The following is a calculated powder X-ray diffraction pattern of Tl2HPdSe2. It was derived from a cell relaxed with GGA-PBE, using Cu Kα X-rays.
Peak positions follow from Bragg's law for the DFT cell and can differ from measured ones.

Crystal structure
Cell: 6.314 14.444 5.798 Å, 90.00 90.00 90.00°
Space group Ibam (No. 72)
One atom of each set of equivalent atoms:
Tl 0.222 0.170 0.000
H 0.000 0.500 0.250
Pd 0.000 0.000 0.250
Se 0.202 0.425 0.000

Principal peaks in the range 2θ from 10° to 90°, by angle:
2θ 24.21, I 35, hkl 1 2 1
2θ 28.27, I 22, hkl 2 0 0
2θ 30.87, I 35, hkl 0 0 2
2θ 32.47, I 100, hkl 1 4 1
2θ 37.85, I 13, hkl 2 4 0
2θ 39.88, I 13, hkl 0 4 2
2θ 42.33, I 37, hkl 2 0 2
2θ 52.76, I 17, hkl 3 4 1
2θ 55.24, I 14, hkl 1 8 1
2θ 55.89, I 22, hkl 1 4 3

***

Record 3
The following is a calculated powder X-ray diffraction pattern of Si2H2Pd7. It was derived from a cell relaxed with GGA-PBE, using Cu Kα X-rays.
Peak positions follow from Bragg's law for the DFT cell and can differ from measured ones.

Crystal structure
Cell: 7.731 8.065 4.977 Å, 90.00 104.67 90.00°
Space group C2/m (No. 12)
One atom of each set of equivalent atoms:
Si 0.000 0.241 0.000
H 0.214 0.000 0.426
Pd 0.000 0.000 0.500
Pd 0.137 0.500 0.226
Pd 0.199 0.319 0.731

Principal peaks in the range 2θ from 10° to 90°, by angle:
2θ 32.66, I 18, hkl 2 2 0
2θ 37.36, I 23, hkl 0 0 2
2θ 37.77, I 42, hkl 3 1 0
2θ 37.89, I 30, hkl 3 1 -1
2θ 38.76, I 100, hkl 1 3 -1
2θ 39.04, I 42, hkl 2 0 -2
2θ 40.78, I 56, hkl 2 2 1
2θ 41.73, I 26, hkl 1 3 1
2θ 43.79, I 24, hkl 1 1 2
2θ 52.95, I 21, hkl 4 2 -1

***

Record 4
The following is a calculated powder X-ray diffraction pattern of USiHPd. It was derived from a cell relaxed with GGA-PBE, using Cu Kα X-rays.
Peak positions follow from Bragg's law for the DFT cell and can differ from measured ones.

Crystal structure
Cell: 4.2263 4.2263 3.8691 Å, 90.00 90.00 120.00°
Space group P-6m2 (No. 187)
One atom of each set of equivalent atoms:
U 0.0000 0.0000 0.0000
Si 0.3333 0.6667 0.5000
H 0.6667 0.3333 0.0000
Pd 0.6667 0.3333 0.5000

Principal peaks in the range 2θ from 10° to 90°, by angle:
2θ 24.32, I 36, hkl 1 0 0
2θ 33.71, I 100, hkl 1 0 1
2θ 42.79, I 38, hkl 1 1 0
2θ 46.97, I 10, hkl 0 0 2
2θ 53.58, I 9, hkl 1 0 2
2θ 55.55, I 25, hkl 2 0 1
2θ 65.40, I 22, hkl 1 1 2
2θ 72.57, I 23, hkl 2 1 1
2θ 78.38, I 7, hkl 3 0 0
2θ 78.66, I 9, hkl 1 0 3

***

Record 5
The following is a calculated powder X-ray diffraction pattern of V2SiHPd. It was derived from a cell relaxed with GGA-PBE, using Cu Kα X-rays.
Peak positions follow from Bragg's law for the DFT cell and can differ from measured ones.

Crystal structure
Cell: 3.658 3.658 4.213 Å, 90.00 90.00 90.00°
Space group P4/mmm (No. 123)
One atom of each set of equivalent atoms:
V 0.000 0.500 0.000
Si 0.000 0.000 0.500
H 0.500 0.500 0.000
Pd 0.500 0.500 0.500

Principal peaks in the range 2θ from 10° to 90°, by angle:
2θ 24.33, I 24, hkl 1 0 0
2θ 32.41, I 21, hkl 1 0 1
2θ 40.94, I 100, hkl 1 1 1
2θ 42.94, I 22, hkl 0 0 2
2θ 49.85, I 28, hkl 2 0 0
2θ 67.86, I 21, hkl 2 0 2
2θ 73.20, I 12, hkl 2 2 0
2θ 77.32, I 14, hkl 1 1 3
2θ 87.43, I 21, hkl 3 1 1
2θ 88.76, I 10, hkl 2 2 2

***

Record 6
The following is a calculated powder X-ray diffraction pattern of SmH5Pd4. It was derived from a cell relaxed with GGA-PBE, using Cu Kα X-rays.
Peak positions follow from Bragg's law for the DFT cell and can differ from measured ones.

Crystal structure
Cell: 5.598 7.891 5.161 Å, 90.00 90.00 90.00°
Space group Pmmn (No. 59, origin choice 2)
One atom of each set of equivalent atoms:
Sm 0.250 0.250 0.181
H 0.019 0.579 0.140
H 0.250 0.750 0.628
Pd 0.013 0.750 0.357
Pd 0.250 0.562 0.854

Principal peaks in the range 2θ from 10° to 90°, by angle:
2θ 22.53, I 27, hkl 0 2 0
2θ 28.48, I 20, hkl 0 2 1
2θ 32.74, I 70, hkl 1 2 1
2θ 36.52, I 37, hkl 2 0 1
2θ 36.64, I 56, hkl 0 1 2
2θ 37.79, I 35, hkl 1 3 0
2θ 38.33, I 100, hkl 2 1 1
2θ 41.79, I 21, hkl 1 3 1
2θ 44.99, I 24, hkl 1 2 2
2θ 70.94, I 21, hkl 2 5 1